[1]
Structure and computed PXRD pattern of Pm2CuB3Pt12 (a structure optimized by DFT (GGA-PBE); a wavelength of 1.5418 Å).
Lines closer than 0.1° are merged.

Top 10 peaks for 15° ≤ 2θ ≤ 90°, low angle first:
| two_theta | I (rel.) | h k l |
| --- | --- | --- |
| 33.28 | 100 | 0 2 4 |
| 36.04 | 14 | 1 2 2 |
| 36.86 | 19 | 2 0 5 |
| 40.47 | 12 | 2 1 4 |
| 45.64 | 45 | 2 2 0 |
| 49.86 | 25 | 2 0 8 |
| 57.64 | 14 | 4 0 4 |
| 67.89 | 11 | 2 2 9 |
| 69.89 | 9 | 0 4 8 |
| 76.44 | 11 | 2 4 4 |

Structure:
Lattice parameters (Å, degrees): 7.9516 7.9516 17.2711 90.00 90.00 120.00
Space group R-3m (No. 166, hexagonal axes)
Symmetry-distinct sites (fractional):
Pm1 0.0000 0.0000 0.1076 (multiplicity 6)
Cu1 0.0000 0.0000 0.5000 (multiplicity 3)
B1 0.0000 0.5000 0.0000 (multiplicity 9)
Pt1 0.0004 0.5002 0.1216 (multiplicity 18)
Pt2 0.0566 0.5283 0.3548 (multiplicity 18)

---

[2]
Structure and computed PXRD pattern of Be6CuIr5 (a structure optimized by DFT (GGA-PBE); a wavelength of 1.5418 Å).
Lines closer than 0.1° are merged.

Top 10 peaks for 15° ≤ 2θ ≤ 90°, low angle first:
| two_theta | I (rel.) | h k l |
| --- | --- | --- |
| 31.74 | 53 | 0 2 0 |
| 32.23 | 100 | 2 0 1 |
| 45.87 | 88 | 2 2 1 |
| 46.12 | 22 | 2 0 -2 |
| 46.33 | 20 | 6 0 0 |
| 57.07 | 21 | 2 2 -2 |
| 57.25 | 19 | 6 2 0 |
| 75.67 | 18 | 2 4 1 |
| 85.26 | 15 | 0 2 3 |
| 85.56 | 13 | 8 2 1 |

Structure:
Lattice parameters (Å, degrees): 12.3934 5.6376 3.9363 90.00 108.42 90.00
Space group C2/m (No. 12)
Symmetry-distinct sites (fractional):
Be1 0.0000 0.2309 0.0000 (multiplicity 4)
Be2 0.1714 0.2412 0.6710 (multiplicity 8)
Cu1 0.0000 0.5000 0.5000 (multiplicity 2)
Ir1 0.0000 0.0000 0.5000 (multiplicity 2)
Ir2 0.1550 0.5000 0.1554 (multiplicity 4)
Ir3 0.1693 0.0000 0.1689 (multiplicity 4)